No. 1
Simulated X-ray diffraction stick pattern of ThPd7 for Cu Kα X-rays, from a PBE-relaxed structure.
No peak broadening, texture or thermal motion is included.

Structural model:
```
ThPd7
1.0
-2.080 2.080 7.908
2.080 -2.080 7.908
2.080 2.080 -7.908
Th Pd
1 7
Direct
0.000 0.000 0.000
0.130 0.630 0.500
0.251 0.251 0.000
0.370 0.870 0.500
0.500 0.500 0.000
0.630 0.130 0.500
0.749 0.749 0.000
0.870 0.370 0.500
```

Top 6 peaks for 2θ from 10° to 90°, by angle:
2θ 38.1, intensity 100
2θ 43.5, intensity 35
2θ 45.9, intensity 14
2θ 63.2, intensity 11
2θ 65.1, intensity 20
2θ 76.3, intensity 26


No. 2
Simulated X-ray diffraction stick pattern of BiPbO2F for Cu Kα X-rays, from a PBE-relaxed structure.
No peak broadening, texture or thermal motion is included.

Structural model:
```
BiPbO2F
1.0
3.454 -1.995 0.000
3.454 1.995 0.000
-0.011 0.000 6.429
Bi Pb O F
1 1 2 1
Direct
0.000 0.000 0.000
0.668 0.668 0.462
0.001 0.001 0.342
0.667 0.667 0.086
0.333 0.333 0.786
```

Top 6 peaks for 2θ from 10° to 90°, by angle:
2θ 25.8, intensity 25
2θ 27.8, intensity 25
2θ 29.4, intensity 100
2θ 45.5, intensity 29
2θ 50.1, intensity 27
2θ 54.1, intensity 25